# V4OF11
Calculated powder diffraction line list, copper Kα. Input: the GGA+U geometry in Alexandria.
Kinematic intensities with the Lorentz-polarization factor, no thermal factor.

Principal peaks in the range 15 to 90 degrees two-theta, in order of rising 2θ:
d [Å], I (rel.), index
3.797, 100, 1 1 1
3.752, 52, 2 0 -2
2.728, 8, 2 0 2
2.718, 14, 3 1 -1
2.283, 10, 2 2 0
2.276, 10, 1 1 3
2.261, 8, 3 1 -3
1.898, 21, 2 2 2
1.876, 10, 4 0 -4
1.719, 25, 3 1 3
1.706, 13, 5 1 -3
1.522, 8, 1 3 -3

Structure:
```
data_V4OF11
_chemical_formula_sum 'V8 O2 F22'
_space_group_name_H-M_alt 'C 1 2 1'
_space_group_IT_number 5
_cell_length_a 9.516
_cell_length_b 5.287
_cell_length_c 9.060
_cell_angle_alpha 90.00
_cell_angle_beta 107.99
_cell_angle_gamma 90.00
loop_
_space_group_symop_operation_xyz
'x,y,z'
'-x,y,-z'
'x+1/2,y+1/2,z'
'-x+1/2,y+1/2,-z'
loop_
_atom_site_label
_atom_site_fract_x
_atom_site_fract_y
_atom_site_fract_z
_atom_site_occupancy
V1 0.117 0.000 0.383 1
V2 0.126 0.496 0.873 1
O1 0.000 0.069 0.500 1
F1 0.000 0.593 0.000 1
F2 0.005 0.192 0.800 1
F3 0.006 0.688 0.302 1
F4 0.242 0.300 0.449 1
F5 0.244 0.910 0.254 1
F6 0.247 0.801 0.948 1
```